The following is a calculated XRD peak list of Ni3SnH12O6F6. It was derived from a GGA+U-relaxed structure, using a wavelength of 1.5418 Å.
Lines closer than 0.1° are merged.

Crystal structure
Cell: 7.709 8.289 11.427 Å, 91.92 90.82 100.39°
Fractional coordinates of all 28 atoms:
Ni (0.000, 0.000, 0.000)
Ni (0.000, 0.500, 0.500)
Ni (0.500, 0.000, 0.500)
Sn (0.000, 0.000, 0.500)
H (0.102, 0.426, 0.778)
H (0.132, 0.333, 0.665)
H (0.145, 0.093, 0.809)
H (0.285, 0.122, 0.921)
H (0.336, 0.127, 0.659)
H (0.442, 0.266, 0.587)
H (0.558, 0.734, 0.413)
H (0.664, 0.873, 0.341)
H (0.715, 0.878, 0.079)
H (0.855, 0.907, 0.191)
H (0.868, 0.667, 0.335)
H (0.898, 0.574, 0.222)
O (0.158, 0.443, 0.703)
O (0.161, 0.115, 0.901)
O (0.459, 0.169, 0.629)
O (0.541, 0.831, 0.371)
O (0.839, 0.885, 0.099)
O (0.842, 0.557, 0.297)
F (0.002, 0.729, 0.501)
F (0.141, 0.073, 0.693)
F (0.294, 0.047, 0.430)
F (0.706, 0.953, 0.570)
F (0.859, 0.927, 0.307)
F (0.998, 0.271, 0.499)

Largest 10 diffraction maxima, sorted by position, 2θ = 10–90°:
2theta	d/Å	I/Imax
10.86	8.148	100
11.67	7.581	71
15.52	5.709	66
18.65	4.759	23
19.29	4.601	31
21.82	4.074	34
22.86	3.890	29
23.45	3.794	32
24.59	3.620	21
27.99	3.187	23

***

The following is a calculated XRD peak list of VH6O3F3. It was derived from a GGA+U-relaxed structure, using a wavelength of 1.5418 Å.
Lines closer than 0.1° are merged.

Crystal structure
Cell: 5.060 5.060 20.235 Å, 91.61 91.61 91.69°
Fractional coordinates of all 52 atoms:
V (0.000, 0.000, 0.000)
V (0.000, 0.000, 0.249)
V (0.000, 0.000, 0.500)
V (0.001, 0.001, 0.750)
H (0.183, 0.548, 0.193)
H (0.183, 0.775, 0.387)
H (0.183, 0.776, 0.887)
H (0.183, 0.777, 0.137)
H (0.184, 0.548, 0.944)
H (0.184, 0.549, 0.444)
H (0.184, 0.549, 0.693)
H (0.184, 0.778, 0.637)
H (0.548, 0.183, 0.193)
H (0.548, 0.184, 0.944)
H (0.548, 0.775, 0.295)
H (0.548, 0.776, 0.046)
H (0.548, 0.776, 0.546)
H (0.549, 0.184, 0.444)
H (0.549, 0.184, 0.693)
H (0.549, 0.777, 0.796)
H (0.775, 0.183, 0.387)
H (0.775, 0.548, 0.295)
H (0.776, 0.183, 0.887)
H (0.776, 0.548, 0.046)
H (0.776, 0.548, 0.546)
H (0.777, 0.183, 0.137)
H (0.777, 0.549, 0.796)
H (0.778, 0.184, 0.637)
O (0.126, 0.729, 0.182)
O (0.127, 0.729, 0.932)
O (0.128, 0.730, 0.432)
O (0.130, 0.731, 0.682)
O (0.729, 0.126, 0.182)
O (0.729, 0.127, 0.932)
O (0.729, 0.729, 0.032)
O (0.729, 0.729, 0.282)
O (0.729, 0.729, 0.532)
O (0.730, 0.128, 0.432)
O (0.731, 0.130, 0.682)
O (0.731, 0.731, 0.782)
F (0.260, 0.260, 0.216)
F (0.260, 0.870, 0.315)
F (0.261, 0.261, 0.716)
F (0.262, 0.262, 0.469)
F (0.262, 0.262, 0.968)
F (0.262, 0.872, 0.065)
F (0.262, 0.872, 0.565)
F (0.262, 0.873, 0.815)
F (0.870, 0.260, 0.315)
F (0.872, 0.262, 0.065)
F (0.872, 0.262, 0.565)
F (0.873, 0.262, 0.815)

Largest 10 diffraction maxima, sorted by position, 2θ = 10–90°:
2theta	d/Å	I/Imax
17.54	5.055	100
25.28	3.523	36
30.32	2.948	38
40.36	2.235	23
43.64	2.074	38
50.29	1.814	11
54.45	1.685	15
58.22	1.585	11
62.01	1.497	9
65.68	1.422	10

***

The following is a calculated XRD peak list of VH6O3F3. It was derived from a GGA+U-relaxed structure, using a wavelength of 1.5418 Å.
Lines closer than 0.1° are merged.

Crystal structure
Cell: 7.556 7.643 7.979 Å, 117.48 116.81 90.77°
Fractional coordinates of all 13 atoms:
V (0.000, 0.000, 0.000)
H (0.016, 0.689, 0.492)
H (0.125, 0.752, 0.554)
H (0.518, 0.195, 0.505)
H (0.565, 0.195, 0.439)
H (0.575, 0.698, 0.940)
H (0.636, 0.759, 0.063)
O (0.184, 0.399, 0.895)
O (0.281, 0.498, 0.098)
O (0.897, 0.181, 0.999)
F (0.060, 0.007, 0.243)
F (0.227, 0.042, 0.996)
F (0.823, 0.767, 0.761)

Largest 10 diffraction maxima, sorted by position, 2θ = 10–90°:
2theta	d/Å	I/Imax
13.65	6.485	100
13.79	6.422	30
13.94	6.352	63
14.60	6.066	77
16.39	5.409	45
16.62	5.335	22
21.95	4.050	19
23.28	3.821	19
27.03	3.299	17
27.30	3.267	19

***

Repeat the first record exactly.
The following is a calculated XRD peak list of Ni3SnH12O6F6. It was derived from a GGA+U-relaxed structure, using a wavelength of 1.5418 Å.
Lines closer than 0.1° are merged.

Crystal structure
Cell: 7.709 8.289 11.427 Å, 91.92 90.82 100.39°
Fractional coordinates of all 28 atoms:
Ni (0.000, 0.000, 0.000)
Ni (0.000, 0.500, 0.500)
Ni (0.500, 0.000, 0.500)
Sn (0.000, 0.000, 0.500)
H (0.102, 0.426, 0.778)
H (0.132, 0.333, 0.665)
H (0.145, 0.093, 0.809)
H (0.285, 0.122, 0.921)
H (0.336, 0.127, 0.659)
H (0.442, 0.266, 0.587)
H (0.558, 0.734, 0.413)
H (0.664, 0.873, 0.341)
H (0.715, 0.878, 0.079)
H (0.855, 0.907, 0.191)
H (0.868, 0.667, 0.335)
H (0.898, 0.574, 0.222)
O (0.158, 0.443, 0.703)
O (0.161, 0.115, 0.901)
O (0.459, 0.169, 0.629)
O (0.541, 0.831, 0.371)
O (0.839, 0.885, 0.099)
O (0.842, 0.557, 0.297)
F (0.002, 0.729, 0.501)
F (0.141, 0.073, 0.693)
F (0.294, 0.047, 0.430)
F (0.706, 0.953, 0.570)
F (0.859, 0.927, 0.307)
F (0.998, 0.271, 0.499)

Largest 10 diffraction maxima, sorted by position, 2θ = 10–90°:
2theta	d/Å	I/Imax
10.86	8.148	100
11.67	7.581	71
15.52	5.709	66
18.65	4.759	23
19.29	4.601	31
21.82	4.074	34
22.86	3.890	29
23.45	3.794	32
24.59	3.620	21
27.99	3.187	23